[1]
This entry pairs a crystal structure of BaDySnSbO6 with its computed powder diffractogram. Radiation: Cu Kα (λ = 1.5418 Å). Structure: a cell relaxed with PBE.

Largest 8 diffraction maxima, sorted by position, 10° ≤ 2θ ≤ 80°:
d (Å)	2theta	I/Imax
2.990	29.88	52
2.980	29.98	100
2.115	42.76	28
2.100	43.07	14
1.725	53.11	44
1.719	53.30	22
1.490	62.31	17
1.337	70.43	19

Cell and atoms:
```
40
Lattice="8.401 0.000 0.000 0.000 8.456 0.000 0.000 0.000 8.460" Properties=species:S:1:pos:R:3 pbc="T T T"
Ba 2.100 2.114 2.115
Ba 2.100 2.114 6.345
Ba 6.301 6.342 2.115
Ba 6.301 6.342 6.345
Dy 0.000 0.000 0.000
Dy 0.000 4.228 4.230
Dy 4.200 0.000 4.230
Dy 4.200 4.228 0.000
Sn 2.100 6.342 2.115
Sn 2.100 6.342 6.345
Sn 6.301 2.114 2.115
Sn 6.301 2.114 6.345
Sb 0.000 0.000 4.230
Sb 0.000 4.228 0.000
Sb 4.200 0.000 0.000
Sb 4.200 4.228 4.230
O 0.215 6.220 0.341
O 0.215 6.464 3.889
O 0.224 4.553 6.466
O 0.224 8.131 6.224
O 1.986 0.234 4.075
O 1.986 3.994 0.155
O 2.215 0.234 0.155
O 2.215 3.994 4.075
O 3.976 4.553 6.224
O 3.976 8.131 6.466
O 3.985 6.220 3.889
O 3.985 6.464 0.341
O 4.415 1.992 8.119
O 4.415 2.236 4.571
O 4.425 0.325 1.994
O 4.425 3.903 2.236
O 6.186 4.463 4.385
O 6.186 8.222 8.305
O 6.415 4.463 8.305
O 6.415 8.222 4.385
O 8.177 0.325 2.236
O 8.177 3.903 1.994
O 8.186 1.992 4.571
O 8.186 2.236 8.119
```

***

[2]
This entry pairs a crystal structure of Na3Al3Si3AgBrO12 with its computed powder diffractogram. Radiation: Cu Kα (λ = 1.5418 Å). Structure: a cell relaxed with PBE.

Largest 8 diffraction maxima, sorted by position, 10° ≤ 2θ ≤ 80°:
d (Å)	2theta	I/Imax
4.043	21.98	15
3.691	24.11	100
2.416	37.21	36
2.131	42.42	46
1.598	57.68	10
1.507	61.54	13
1.467	63.42	17
1.230	77.60	15

Cell and atoms:
```
46
Lattice="6.390 -6.394 0.000 6.390 6.394 0.000 -0.002 0.000 9.044" Properties=species:S:1:pos:R:3 pbc="T T T"
Na 6.389 5.625 4.522
Na 3.978 3.182 1.077
Na 8.818 3.187 1.087
Na 3.977 -3.182 5.599
Na 8.817 -3.187 5.609
Na 6.390 -5.625 0.000
Al 1.602 1.598 2.800
Al 1.601 -1.598 7.322
Al 4.808 1.587 7.313
Al 4.808 -1.587 2.791
Al 9.577 0.007 5.064
Al 9.578 -0.007 0.542
Si 4.793 4.793 7.320
Si 3.199 0.001 5.065
Si 3.200 -0.001 0.543
Si 7.995 1.602 7.318
Si 4.794 -4.793 2.798
Si 7.996 -1.602 2.796
Ag 6.395 1.087 4.285
Ag 6.394 -1.087 8.807
Br 6.394 3.235 2.790
Br 6.393 -3.235 7.312
O 6.329 5.071 6.814
O 4.538 3.254 7.825
O 2.655 1.268 1.430
O 1.937 0.536 4.161
O 3.702 1.259 5.984
O 1.937 -0.536 8.683
O 2.654 -1.268 5.952
O 4.462 0.540 8.690
O 3.703 -1.259 1.462
O 4.463 -0.540 4.168
O 6.467 1.358 6.776
O 8.254 3.137 7.840
O 8.254 0.607 8.600
O 9.031 1.334 6.077
O 4.539 -3.254 3.303
O 6.468 -1.358 2.254
O 8.255 -0.607 4.078
O 10.192 1.325 1.520
O 10.903 0.608 4.073
O 9.032 -1.334 1.555
O 8.255 -3.137 3.318
O 6.330 -5.071 2.292
O 10.191 -1.325 6.042
O 10.902 -0.608 8.595
```

***

[3]
This entry pairs a crystal structure of Ce5C2Cl9 with its computed powder diffractogram. Radiation: Cu Kα (λ = 1.5418 Å). Structure: a cell relaxed with PBE.

Largest 8 diffraction maxima, sorted by position, 10° ≤ 2θ ≤ 80°:
d (Å)	2theta	I/Imax
7.812	11.33	47
3.678	24.20	46
3.530	25.23	46
3.427	26.00	52
2.914	30.68	100
2.853	31.36	48
2.606	34.42	56
2.482	36.20	46

Cell and atoms:
```
32
Lattice="8.661 0.000 0.000 -3.736 8.128 0.000 -0.900 -1.414 11.657" Properties=species:S:1:pos:R:3 pbc="T T T"
Ce -0.104 2.632 0.206
Ce -1.693 5.723 3.219
Ce -0.307 2.152 5.735
Ce 0.908 0.093 8.560
Ce -0.021 3.917 9.399
Ce 4.045 2.796 2.258
Ce 3.117 6.620 3.097
Ce 4.332 4.561 5.922
Ce 5.717 0.990 8.438
Ce 4.128 4.082 11.451
C -0.832 1.628 9.511
C -0.660 1.904 8.066
C 4.685 4.809 3.591
C 4.857 5.085 2.146
Cl -0.450 -0.707 5.829
Cl -2.897 4.239 8.867
Cl 0.588 0.113 2.855
Cl -1.423 4.855 6.026
Cl -0.754 5.537 0.402
Cl 0.937 -0.697 11.356
Cl 1.229 3.837 2.950
Cl 2.281 0.944 6.135
Cl -0.148 6.848 8.959
Cl 2.462 4.064 0.000
Cl 4.172 -0.135 2.698
Cl 1.744 5.769 5.523
Cl 2.796 2.877 8.707
Cl 3.088 7.410 0.301
Cl 4.779 1.177 11.255
Cl 5.448 1.858 5.631
Cl 3.436 6.600 8.802
Cl 6.922 2.474 2.790
```

***

[4]
This entry pairs a crystal structure of InCl3 with its computed powder diffractogram. Radiation: Cu Kα (λ = 1.5418 Å). Structure: a cell relaxed with PBE.

Largest 8 diffraction maxima, sorted by position, 10° ≤ 2θ ≤ 80°:
d (Å)	2theta	I/Imax
8.353	10.59	100
4.822	18.40	58
4.176	21.27	35
2.653	33.79	50
2.411	37.29	13
2.324	38.74	35
2.317	38.87	13
1.921	47.33	30

Cell and atoms:
```
8
Lattice="9.645 0.000 0.000 -4.822 8.353 0.000 0.000 0.000 3.434" Properties=species:S:1:pos:R:3 pbc="T T T"
In 0.000 5.569 0.859
In 4.822 2.784 2.576
Cl 0.000 3.642 2.576
Cl -1.668 6.532 2.576
Cl 3.154 1.821 0.859
Cl 1.668 6.532 2.576
Cl 6.491 1.821 0.859
Cl 4.822 4.711 0.859
```

***

[5]
This entry pairs a crystal structure of MgSn5 with its computed powder diffractogram. Radiation: Cu Kα (λ = 1.5418 Å). Structure: a cell relaxed with PBE.

Largest 8 diffraction maxima, sorted by position, 10° ≤ 2θ ≤ 80°:
d (Å)	2theta	I/Imax
2.968	30.11	26
2.636	34.02	23
2.586	34.69	100
1.971	46.06	16
1.713	53.48	20
1.512	61.31	20
1.437	64.91	22
1.428	65.33	17

Cell and atoms:
```
6
Lattice="2.968 1.713 5.271 -2.968 1.713 5.271 0.000 -3.427 5.271" Properties=species:S:1:pos:R:3 pbc="T T T"
Mg 0.000 0.000 0.000
Sn -1.997 0.000 7.907
Sn 0.000 0.000 5.290
Sn 0.998 -1.729 7.907
Sn 0.000 0.000 10.523
Sn 0.998 1.729 7.907
```

***

[6]
This entry pairs a crystal structure of NaP5 with its computed powder diffractogram. Radiation: Cu Kα (λ = 1.5418 Å). Structure: a cell relaxed with PBE.

Largest 8 diffraction maxima, sorted by position, 10° ≤ 2θ ≤ 80°:
d (Å)	2theta	I/Imax
5.965	14.85	100
3.542	25.14	62
3.273	27.25	44
2.872	31.15	57
2.619	34.24	82
2.553	35.15	83
1.810	50.42	63
1.774	51.50	62

Cell and atoms:
```
24
Lattice="11.057 0.000 0.000 0.000 6.553 0.000 0.000 0.000 7.084" Properties=species:S:1:pos:R:3 pbc="T T T"
Na 0.835 1.638 0.638
Na 4.693 4.914 4.180
Na 6.364 1.638 2.904
Na 10.222 4.914 6.446
P 0.903 3.365 4.203
P 0.903 6.464 4.203
P 1.555 4.914 0.947
P 2.057 4.914 3.077
P 2.089 1.638 3.402
P 3.439 4.914 6.944
P 3.471 1.638 6.619
P 3.974 1.638 4.489
P 4.626 0.089 0.661
P 4.626 3.188 0.661
P 6.431 3.365 6.423
P 6.431 6.464 6.423
P 7.083 4.914 2.595
P 7.585 4.914 0.465
P 7.618 1.638 0.140
P 8.968 4.914 3.683
P 9.000 1.638 4.007
P 9.502 1.638 6.137
P 10.154 0.089 2.881
P 10.154 3.188 2.881
```

***

[7]
This entry pairs a crystal structure of Cs3H12N4F3 with its computed powder diffractogram. Radiation: Cu Kα (λ = 1.5418 Å). Structure: a cell relaxed with PBE.

Largest 8 diffraction maxima, sorted by position, 10° ≤ 2θ ≤ 80°:
d (Å)	2theta	I/Imax
4.281	20.75	100
3.316	26.89	51
2.803	31.93	64
2.345	38.39	54
2.236	40.34	24
2.057	44.03	26
1.701	53.90	31
1.427	65.40	22

Cell and atoms:
```
44
Lattice="-5.243 5.243 5.243 5.243 -5.243 5.243 5.243 5.243 -5.243" Properties=species:S:1:pos:R:3 pbc="T T T"
Cs 5.243 -2.622 3.932
Cs 3.932 5.243 -2.622
Cs 5.243 2.622 1.311
Cs 2.622 1.311 5.243
Cs 1.311 5.243 2.622
Cs -2.622 3.932 5.243
H 6.790 -0.215 0.680
H 5.458 -0.680 1.547
H 6.318 3.302 -2.407
H 3.302 2.407 -1.075
H 7.184 2.836 -1.075
H 2.407 -1.075 3.302
H 2.407 1.075 1.941
H 1.941 2.407 1.075
H 3.302 -2.407 6.318
H 1.075 1.941 2.407
H 5.458 0.680 3.696
H 1.547 5.458 -0.680
H -1.075 3.302 2.407
H 2.836 -1.075 7.184
H 3.696 5.458 0.680
H 0.680 6.790 -0.215
H -0.680 1.547 5.458
H -0.215 0.680 6.790
H 5.028 4.563 3.696
H 4.563 3.696 5.028
H 0.680 3.696 5.458
H 3.696 5.028 4.563
H -2.407 6.318 3.302
H -1.075 7.184 2.836
N 3.662 1.581 -1.581
N 6.283 -1.040 1.040
N 1.581 -1.581 3.662
N 1.581 1.581 1.581
N -1.581 3.662 1.581
N 1.040 6.283 -1.040
N -1.040 1.040 6.283
N 4.203 4.203 4.203
F 7.865 1.311 0.000
F 3.932 0.000 2.622
F 2.622 3.932 0.000
F 0.000 2.622 3.932
F 1.311 0.000 7.865
F 0.000 7.865 1.311
```